Structure and computed powder diffraction line list of Zr3N4 (a PBE-relaxed structure; Cu Kα, 1.54184 Å).

Cell and atoms:
Lattice parameters (Å, degrees): 9.905 3.302 10.901 90.00 90.00 90.00
Space group Pnma (No. 62)
Inequivalent atoms, fractional coordinates:
Zr  0.070  0.250  0.125
Zr  0.107  0.250  0.593
Zr  0.229  0.250  0.853
N  0.006  0.250  0.775
N  0.103  0.750  0.471
N  0.143  0.750  0.982
N  0.237  0.750  0.715

Largest 6 diffraction maxima, by angle, 10 to 80 degrees two-theta:
d [Å], intensity, index
2.824, 100, 3 0 2
2.747, 41, 2 1 0
2.725, 30, 0 0 4
2.716, 63, 1 1 2
2.372, 28, 1 1 3
1.935, 35, 2 1 4